Record 1
Mg2Cu: computed XRD peak list (a wavelength of 1.5418 Å), based on a DFT-relaxed cell (PBE, the Materials Project).
No peak broadening, texture or thermal motion is included.

The 6 most intense peaks (10° ≤ 2θ ≤ 90°), by angle:
- 2θ = 19.36°, intensity 100
- 2θ = 39.30°, intensity 34
- 2θ = 39.62°, intensity 68
- 2θ = 42.95°, intensity 37
- 2θ = 43.86°, intensity 36
- 2θ = 45.35°, intensity 29

Crystal structure
abc: 5.2894 5.2894 5.2894
angles: 107.10 101.34 120.62
Fractional coordinates of all 6 atoms:
Mg 0.1722 0.1613 0.3335
Mg 0.3278 0.6613 0.9890
Mg 0.6722 0.3387 0.0110
Mg 0.8278 0.8387 0.6665
Cu 0.2500 0.7500 0.5000
Cu 0.7500 0.2500 0.5000

Record 2
Mg3Cu: computed XRD peak list (a wavelength of 1.5418 Å), based on a DFT-relaxed cell (PBE, the Materials Project).
No peak broadening, texture or thermal motion is included.

The 6 most intense peaks (10° ≤ 2θ ≤ 90°), by angle:
- 2θ = 18.33°, intensity 17
- 2θ = 20.63°, intensity 35
- 2θ = 37.15°, intensity 23
- 2θ = 37.41°, intensity 28
- 2θ = 38.10°, intensity 100
- 2θ = 67.94°, intensity 16

Crystal structure
abc: 5.6471 5.6471 5.6471
angles: 146.30 62.00 129.61
Fractional coordinates of all 4 atoms:
Mg 0.0000 0.0000 0.0000
Mg 0.2846 0.5023 0.7823
Mg 0.7200 0.5023 0.2177
Cu 0.4984 0.9984 0.5000

Record 3
MgCu3: computed XRD peak list (a wavelength of 1.5418 Å), based on a DFT-relaxed cell (PBE, the Materials Project).
No peak broadening, texture or thermal motion is included.

The 6 most intense peaks (10° ≤ 2θ ≤ 90°), by angle:
- 2θ = 26.58°, intensity 12
- 2θ = 41.59°, intensity 100
- 2θ = 47.59°, intensity 17
- 2θ = 48.81°, intensity 31
- 2θ = 70.55°, intensity 18
- 2θ = 86.27°, intensity 21

Crystal structure
abc: 4.6439 4.6439 4.6439
angles: 132.62 132.62 69.25
Fractional coordinates of all 4 atoms:
Mg 0.0000 0.0000 0.0000
Cu 0.2500 0.7500 0.5000
Cu 0.5000 0.5000 0.0000
Cu 0.7500 0.2500 0.5000

Record 4
Mg3Cu: computed XRD peak list (a wavelength of 1.5418 Å), based on a DFT-relaxed cell (PBE, the Materials Project).
No peak broadening, texture or thermal motion is included.

The 6 most intense peaks (10° ≤ 2θ ≤ 90°), by angle:
- 2θ = 17.10°, intensity 26
- 2θ = 18.65°, intensity 18
- 2θ = 34.05°, intensity 31
- 2θ = 37.81°, intensity 36
- 2θ = 39.10°, intensity 100
- 2θ = 39.58°, intensity 48

Crystal structure
abc: 3.0564 4.7584 5.1866
angles: 90.00 90.00 90.00
Fractional coordinates of all 4 atoms:
Mg 0.0000 0.0000 0.0000
Mg 0.0000 0.5000 0.3455
Mg 0.5000 0.0000 0.5209
Cu 0.5000 0.5000 0.8423

Record 5
Mg4Cu: computed XRD peak list (a wavelength of 1.5418 Å), based on a DFT-relaxed cell (PBE, the Materials Project).
No peak broadening, texture or thermal motion is included.

The 6 most intense peaks (10° ≤ 2θ ≤ 90°), by angle:
- 2θ = 25.42°, intensity 100
- 2θ = 29.91°, intensity 44
- 2θ = 31.27°, intensity 65
- 2θ = 39.65°, intensity 61
- 2θ = 47.69°, intensity 46
- 2θ = 52.22°, intensity 56

Crystal structure
abc: 7.0066 7.0066 7.0066
angles: 60.00 60.00 60.00
Fractional coordinates of all 10 atoms:
Mg 0.1973 0.7676 0.7676
Mg 0.2324 0.2324 0.2324
Mg 0.2324 0.2324 0.8027
Mg 0.2324 0.8027 0.2324
Mg 0.7676 0.1973 0.7676
Mg 0.7676 0.7676 0.1973
Mg 0.7676 0.7676 0.7676
Mg 0.8027 0.2324 0.2324
Cu 0.3750 0.3750 0.3750
Cu 0.6250 0.6250 0.6250

Record 6
MgCu: computed XRD peak list (a wavelength of 1.5418 Å), based on a DFT-relaxed cell (PBE, the Materials Project).
No peak broadening, texture or thermal motion is included.

The 6 most intense peaks (10° ≤ 2θ ≤ 90°), by angle:
- 2θ = 28.37°, intensity 22
- 2θ = 40.46°, intensity 100
- 2θ = 40.67°, intensity 20
- 2θ = 58.70°, intensity 12
- 2θ = 73.58°, intensity 16
- 2θ = 73.88°, intensity 12

Crystal structure
abc: 4.4367 3.1593 4.4613
angles: 90.00 90.00 90.00
Fractional coordinates of all 4 atoms:
Mg 0.2500 0.0000 0.2360
Mg 0.7500 0.0000 0.7640
Cu 0.2500 0.5000 0.7232
Cu 0.7500 0.5000 0.2768